[1]
The following is a simulated powder diffraction line list of Tl3Hg5Pb2. It was derived from a GGA-PBE-relaxed structure, using Cu Kα.
Intensities are scaled so that the largest is 100.

Most intense lines, 2θ from 10° to 90°, by angle:
d [Å]  I (rel.)
2.948  30
2.921  47
2.791  100
2.717  64
2.483  32
2.173  13

Cell and atoms:
```
Tl3Hg5Pb2
1.0
6.3248 -7.7755 0.0000
6.3248 7.7755 0.0000
-0.4836 0.0000 5.9780
Tl Hg Pb
6 10 4
direct
0.0506 0.9494 0.7500
0.2296 0.4566 0.1336
0.4566 0.2296 0.6336
0.5434 0.7704 0.3664
0.7704 0.5434 0.8664
0.9494 0.0506 0.2500
0.0753 0.7124 0.1026
0.1560 0.2838 0.5860
0.2838 0.1560 0.0860
0.2876 0.9247 0.3974
0.4438 0.5562 0.7500
0.5562 0.4438 0.2500
0.7124 0.0753 0.6026
0.7162 0.8440 0.9140
0.8440 0.7162 0.4140
0.9247 0.2876 0.8974
0.1352 0.6159 0.6156
0.3841 0.8648 0.8844
0.6159 0.1352 0.1156
0.8648 0.3841 0.3844
```

[2]
The following is a simulated powder diffraction line list of Ho2Er7Tl2. It was derived from a GGA-PBE-relaxed structure, using Cu Kα.
Intensities are scaled so that the largest is 100.

Most intense lines, 2θ from 10° to 90°, by angle:
d [Å]  I (rel.)
2.869  59
2.859  38
2.786  100
2.642  35
2.447  25
1.470  20

Cell and atoms:
```
Ho2Er7Tl2
1.0
-1.8113 9.7860 4.7919
1.8113 -9.7860 4.7919
1.8113 9.7860 -4.7919
Ho Er Tl
2 7 2
direct
0.0000 0.0000 0.0000
0.6737 0.1737 0.5000
0.0034 0.6363 0.3671
0.2692 0.6363 0.6329
0.3481 0.3481 0.0000
0.3487 0.0075 0.3412
0.6664 0.0075 0.6588
0.6851 0.8179 0.8672
0.9506 0.8179 0.1328
0.0532 0.2953 0.7579
0.5374 0.2953 0.2421
```

[3]
The following is a simulated powder diffraction line list of K2Ce2VS6. It was derived from a GGA-PBE-relaxed structure, using Cu Kα.
Intensities are scaled so that the largest is 100.

Most intense lines, 2θ from 10° to 90°, by angle:
d [Å]  I (rel.)
7.531  100
2.924  35
2.894  67
2.331  16
2.166  25
1.963  21

Cell and atoms:
```
K2Ce2VS6
1.0
3.4136 -5.8181 0.0000
3.4136 5.8181 0.0000
-2.2905 0.0000 7.5307
K Ce V S
2 2 1 6
direct
0.1698 0.8302 0.0000
0.8302 0.1698 0.0000
0.3337 0.6663 0.5000
0.6663 0.3337 0.5000
0.0000 0.0000 0.5000
0.0648 0.3737 0.6920
0.2377 0.2377 0.3094
0.3737 0.0648 0.6920
0.6263 0.9352 0.3080
0.7623 0.7623 0.6906
0.9352 0.6263 0.3080
```

[4]
The following is a simulated powder diffraction line list of TmGe2Pt7Pb2. It was derived from a GGA-PBE-relaxed structure, using Cu Kα.
Intensities are scaled so that the largest is 100.

Most intense lines, 2θ from 10° to 90°, by angle:
d [Å]  I (rel.)
7.809  45
2.780  66
2.657  39
2.483  100
2.095  97
1.998  92

Cell and atoms:
```
TmGe2Pt7Pb2
1.0
2.8251 -2.8259 0.0000
2.8251 2.8259 0.0000
-2.8079 0.0000 15.6170
Tm Ge Pt Pb
1 2 7 2
direct
0.0000 0.0000 0.0000
0.3840 0.3840 0.7656
0.6160 0.6160 0.2344
0.0682 0.5682 0.1378
0.3040 0.3040 0.6099
0.4318 0.9318 0.8622
0.5000 0.5000 0.0000
0.5682 0.0682 0.1378
0.6960 0.6960 0.3901
0.9318 0.4318 0.8622
0.2112 0.2112 0.4218
0.7888 0.7888 0.5782
```

[5]
The following is a simulated powder diffraction line list of Pm3CdGe2. It was derived from a GGA-PBE-relaxed structure, using Cu Kα.
Intensities are scaled so that the largest is 100.

Most intense lines, 2θ from 10° to 90°, by angle:
d [Å]  I (rel.)
3.313  100
2.575  81
2.163  48
1.999  24
1.656  20
1.371  18

Cell and atoms:
```
Pm3CdGe2
1.0
3.7472 2.1635 7.0887
-3.7472 2.1635 7.0887
0.0000 -4.3269 7.0887
Pm Cd Ge
6 2 4
direct
0.0485 0.7500 0.4515
0.2500 0.5485 0.9515
0.4515 0.0485 0.7500
0.5485 0.9515 0.2500
0.7500 0.4515 0.0485
0.9515 0.2500 0.5485
0.0000 0.0000 0.0000
0.5000 0.5000 0.5000
0.1552 0.1552 0.1552
0.3448 0.3448 0.3448
0.6552 0.6552 0.6552
0.8448 0.8448 0.8448
```

[6]
The following is a simulated powder diffraction line list of BeCdPb2. It was derived from a GGA-PBE-relaxed structure, using Cu Kα.
Intensities are scaled so that the largest is 100.

Most intense lines, 2θ from 10° to 90°, by angle:
d [Å]  I (rel.)
3.096  100
2.891  43
2.634  99
2.344  57
1.821  46
1.403  29

Cell and atoms:
```
BeCdPb2
1.0
3.3148 0.0000 0.0000
0.0000 3.3148 0.0000
0.0000 0.0000 8.6729
Be Cd Pb
1 1 2
direct
0.0000 0.0000 0.0000
0.5000 0.5000 0.1627
0.0000 0.0000 0.4476
0.5000 0.5000 0.7900
```

[7]
The following is a simulated powder diffraction line list of Th3Te2Os. It was derived from a GGA-PBE-relaxed structure, using Cu Kα.
Intensities are scaled so that the largest is 100.

Most intense lines, 2θ from 10° to 90°, by angle:
d [Å]  I (rel.)
7.527  12
3.135  100
2.260  34
2.179  23
2.173  11
1.787  13

Cell and atoms:
```
Th3Te2Os
1.0
3.7771 -6.5190 0.0000
3.7771 6.5190 0.0000
-2.5207 0.0000 7.5269
Th Te Os
6 4 2
direct
0.0591 0.4281 0.7893
0.2005 0.2005 0.2066
0.4281 0.0591 0.7893
0.5719 0.9409 0.2107
0.7995 0.7995 0.7934
0.9409 0.5719 0.2107
0.0000 0.0000 0.5000
0.3463 0.6537 0.5000
0.5000 0.5000 0.0000
0.6537 0.3463 0.5000
0.1681 0.8319 0.0000
0.8319 0.1681 0.0000
```

[8]
The following is a simulated powder diffraction line list of TlCr2Hg. It was derived from a GGA-PBE-relaxed structure, using Cu Kα.
Intensities are scaled so that the largest is 100.

Most intense lines, 2θ from 10° to 90°, by angle:
d [Å]  I (rel.)
3.092  35
2.701  26
2.528  100
2.439  38
2.140  49
1.567  25

Cell and atoms:
```
TlCr2Hg
1.0
3.1340 0.0000 0.0000
-1.5670 2.7142 0.0000
0.0000 0.0000 27.8241
Tl Cr Hg
3 6 3
direct
0.0000 0.0000 0.0000
0.3333 0.6667 0.6667
0.6667 0.3333 0.3333
0.0000 0.0000 0.4789
0.0000 0.0000 0.7552
0.3333 0.6667 0.1455
0.3333 0.6667 0.4219
0.6667 0.3333 0.0885
0.6667 0.3333 0.8122
0.0000 0.0000 0.2302
0.3333 0.6667 0.8969
0.6667 0.3333 0.5635
```